(1)
The following is a simulated powder X-ray diffraction pattern of Na3As2Pt. It was derived from a PBE-relaxed structure, using Cu Kα (λ = 1.5418 Å).

Peak list (10 most intense, 15 to 90 degrees two-theta, low angle first)
| 2theta | I (rel.) | hkl |
| --- | --- | --- |
| 18.3 | 100 | 0 2 0 |
| 29.6 | 34 | 1 3 0 |
| 30.1 | 26 | 1 1 2 |
| 32.5 | 20 | 1 3 1 |
| 33.9 | 53 | 2 0 2 |
| 37.2 | 22 | 0 4 0 |
| 38.8 | 93 | 2 2 2 |
| 42.4 | 39 | 3 1 2 |
| 45.9 | 18 | 4 2 0 |
| 50.5 | 23 | 3 3 2 |

a b c (Å): 8.6551 9.6762 6.6825
angles (deg): 90.00 90.00 90.00
Space group Cmcm (No. 63)
Unique sites:
1 Na 0.0000 0.1101 0.2500 [4 per cell]
2 Na 0.1876 0.2411 0.7500 [8 per cell]
3 As 0.2164 0.5000 0.0000 [8 per cell]
4 Pt 0.0000 0.4738 0.2500 [4 per cell]


(2)
The following is a simulated powder X-ray diffraction pattern of Tb4Pm5Er2. It was derived from a PBE-relaxed structure, using Cu Kα (λ = 1.5418 Å).

Peak list (10 most intense, 15 to 90 degrees two-theta, low angle first)
| 2theta | I (rel.) | hkl |
| --- | --- | --- |
| 29.8 | 27 | 1 1 -2 |
| 30.1 | 21 | 1 1 2 |
| 30.7 | 33 | 3 1 1 |
| 30.9 | 62 | 6 0 -1 |
| 31.8 | 100 | 2 0 -4 |
| 32.8 | 41 | 3 1 -2 |
| 33.8 | 22 | 3 1 2 |
| 47.4 | 17 | 1 1 5 |
| 61.3 | 18 | 6 2 -1 |
| 61.8 | 30 | 2 2 -4 |

a b c (Å): 17.6507 3.5499 11.6207
angles (deg): 90.00 94.01 90.00
Space group C2/m (No. 12)
Unique sites:
1 Tb 0.0366 0.0000 0.2606 [4 per cell]
2 Tb 0.1409 0.5000 0.7948 [4 per cell]
3 Pm 0.0000 0.5000 0.0000 [2 per cell]
4 Pm 0.0969 0.0000 0.5360 [4 per cell]
5 Pm 0.1771 0.0000 0.0708 [4 per cell]
6 Er 0.2155 0.5000 0.3534 [4 per cell]


(3)
The following is a simulated powder X-ray diffraction pattern of Sm2H5. It was derived from a PBE-relaxed structure, using Cu Kα (λ = 1.5418 Å).

Peak list (10 most intense, 15 to 90 degrees two-theta, low angle first)
| 2theta | I (rel.) | hkl |
| --- | --- | --- |
| 29.1 | 100 | 1 2 1 |
| 32.1 | 19 | 2 0 0 |
| 32.4 | 19 | 0 4 0 |
| 36.5 | 14 | 0 0 2 |
| 46.2 | 14 | 2 4 0 |
| 49.6 | 12 | 0 4 2 |
| 55.3 | 16 | 3 2 1 |
| 55.7 | 16 | 1 6 1 |
| 60.3 | 12 | 2 4 2 |
| 61.2 | 12 | 1 2 3 |

a b c (Å): 5.5824 11.0576 4.9234
angles (deg): 90.00 90.00 90.00
Space group Ibam (No. 72)
Unique sites:
1 Sm 0.2365 0.1201 0.0000 [8 per cell]
2 H 0.0000 0.2560 0.2500 [8 per cell]
3 H 0.0000 0.5000 0.2500 [4 per cell]
4 H 0.1641 0.0835 0.5000 [8 per cell]


(4)
The following is a simulated powder X-ray diffraction pattern of ThPa5C6. It was derived from a PBE-relaxed structure, using Cu Kα (λ = 1.5418 Å).

Peak list (10 most intense, 15 to 90 degrees two-theta, low angle first)
| 2theta | I (rel.) | hkl |
| --- | --- | --- |
| 30.2 | 100 | 2 0 0 |
| 35.0 | 62 | 1 3 1 |
| 50.3 | 45 | 2 0 2 |
| 59.8 | 47 | 3 3 1 |
| 62.8 | 15 | 0 0 4 |
| 74.0 | 7 | 2 6 2 |
| 81.9 | 10 | 4 0 2 |
| 81.9 | 10 | 4 6 -2 |
| 84.5 | 14 | 3 3 3 |
| 84.6 | 7 | 3 3 -5 |

a b c (Å): 6.2776 10.8737 6.2791
angles (deg): 90.00 109.39 90.00
Space group C2/m (No. 12)
Unique sites:
1 Th 0.0000 0.0000 0.0000 [2 per cell]
2 Pa 0.0000 0.1655 0.5000 [4 per cell]
3 Pa 0.0000 0.3328 0.0000 [4 per cell]
4 Pa 0.0000 0.5000 0.5000 [2 per cell]
5 C 0.2291 0.5000 0.2525 [4 per cell]
6 C 0.2373 0.3242 0.7389 [8 per cell]


(5)
The following is a simulated powder X-ray diffraction pattern of SrZr2IrF. It was derived from a PBE-relaxed structure, using Cu Kα (λ = 1.5418 Å).

Peak list (10 most intense, 15 to 90 degrees two-theta, low angle first)
| 2theta | I (rel.) | hkl |
| --- | --- | --- |
| 18.2 | 17 | 1 0 0 |
| 22.2 | 100 | 1 0 1 |
| 25.3 | 66 | 0 0 2 |
| 36.9 | 49 | 2 0 0 |
| 39.1 | 25 | 2 0 1 |
| 42.8 | 18 | 1 0 3 |
| 43.5 | 35 | 2 1 1 |
| 45.3 | 54 | 2 0 2 |
| 59.8 | 23 | 2 2 2 |
| 65.5 | 18 | 2 0 4 |

a b c (Å): 4.8727 4.8727 7.0279
angles (deg): 90.00 90.00 90.00
Space group P4/mmm (No. 123)
Unique sites:
1 Sr 0.0000 0.0000 0.0000 [1 per cell]
2 Zr 0.0000 0.5000 0.5000 [2 per cell]
3 Ir 0.5000 0.5000 0.5000 [1 per cell]
4 F 0.5000 0.5000 0.0000 [1 per cell]


(6)
The following is a simulated powder X-ray diffraction pattern of Tb6YEr4. It was derived from a PBE-relaxed structure, using Cu Kα (λ = 1.5418 Å).

Peak list (10 most intense, 15 to 90 degrees two-theta, low angle first)
| 2theta | I (rel.) | hkl |
| --- | --- | --- |
| 30.6 | 63 | 1 1 7 |
| 30.8 | 52 | 0 2 7 |
| 31.4 | 68 | 2 0 0 |
| 32.1 | 100 | 1 3 0 |
| 32.3 | 25 | 1 3 1 |
| 33.5 | 57 | 1 1 8 |
| 44.6 | 38 | 2 2 7 |
| 56.3 | 20 | 3 3 0 |
| 56.5 | 24 | 1 5 7 |
| 58.0 | 15 | 2 4 8 |

a b c (Å): 5.6972 9.5971 25.5327
angles (deg): 90.00 90.00 90.00
Space group Cmcm (No. 63)
Unique sites:
1 Tb 0.0000 0.0000 0.0000 [4 per cell]
2 Tb 0.0000 0.0303 0.2500 [4 per cell]
3 Tb 0.0000 0.3063 0.6031 [8 per cell]
4 Tb 0.0000 0.3631 0.1814 [8 per cell]
5 Y 0.0000 0.3049 0.7500 [4 per cell]
6 Er 0.0000 0.0328 0.1219 [8 per cell]
7 Er 0.0000 0.3451 0.0429 [8 per cell]


(7)
The following is a simulated powder X-ray diffraction pattern of Ca3TiP. It was derived from a PBE-relaxed structure, using Cu Kα (λ = 1.5418 Å).

Peak list (10 most intense, 15 to 90 degrees two-theta, low angle first)
| 2theta | I (rel.) | hkl |
| --- | --- | --- |
| 16.1 | 11 | 1 0 0 |
| 22.8 | 17 | 1 1 0 |
| 28.1 | 98 | 1 1 1 |
| 32.5 | 100 | 2 0 0 |
| 46.7 | 66 | 2 2 0 |
| 55.4 | 37 | 3 1 1 |
| 58.0 | 22 | 2 2 2 |
| 75.3 | 13 | 3 3 1 |
| 77.6 | 26 | 4 2 0 |
| 86.7 | 19 | 4 2 2 |

a b c (Å): 5.5042 5.5042 5.5042
angles (deg): 90.00 90.00 90.00
Space group Pm-3m (No. 221)
Unique sites:
1 Ca 0.0000 0.0000 0.5000 [3 per cell]
2 Ti 0.5000 0.5000 0.5000 [1 per cell]
3 P 0.0000 0.0000 0.0000 [1 per cell]


(8)
The following is a simulated powder X-ray diffraction pattern of SrPrCdIr. It was derived from a PBE-relaxed structure, using Cu Kα (λ = 1.5418 Å).

Peak list (10 most intense, 15 to 90 degrees two-theta, low angle first)
| 2theta | I (rel.) | hkl |
| --- | --- | --- |
| 20.6 | 7 | 1 1 1 |
| 23.8 | 2 | 2 0 0 |
| 34.0 | 100 | 2 2 0 |
| 40.1 | 4 | 3 1 1 |
| 48.8 | 18 | 4 0 0 |
| 53.5 | 2 | 3 3 1 |
| 60.8 | 37 | 4 2 2 |
| 64.9 | 1 | 5 1 1 |
| 71.5 | 11 | 4 4 0 |
| 81.6 | 16 | 6 2 0 |

a b c (Å): 7.4631 7.4631 7.4631
angles (deg): 90.00 90.00 90.00
Space group F-43m (No. 216)
Unique sites:
1 Sr 0.0000 0.0000 0.0000 [4 per cell]
2 Pr 0.0000 0.0000 0.5000 [4 per cell]
3 Cd 0.2500 0.2500 0.7500 [4 per cell]
4 Ir 0.2500 0.2500 0.2500 [4 per cell]


(9)
The following is a simulated powder X-ray diffraction pattern of MgTl17Hg11. It was derived from a PBE-relaxed structure, using Cu Kα (λ = 1.5418 Å).

Peak list (10 most intense, 15 to 90 degrees two-theta, low angle first)
| 2theta | I (rel.) | hkl |
| --- | --- | --- |
| 32.0 | 100 | 4 0 -1 |
| 32.1 | 91 | 1 5 -2 |
| 32.2 | 39 | 0 0 3 |
| 35.5 | 43 | 2 6 -1 |
| 35.7 | 12 | 2 0 -4 |
| 37.1 | 14 | 4 4 -2 |
| 38.6 | 14 | 4 4 -1 |
| 56.9 | 18 | 7 1 -2 |
| 57.1 | 26 | 7 3 -4 |
| 57.2 | 14 | 1 5 4 |

a b c (Å): 11.8711 16.7994 10.2077
angles (deg): 90.00 125.13 90.00
Space group Cm (No. 8)
Unique sites:
1 Mg 0.0000 0.0000 0.0000 [2 per cell]
2 Tl 0.0138 0.1585 0.1960 [4 per cell]
3 Tl 0.0420 0.5000 0.1725 [2 per cell]
4 Tl 0.1075 0.3347 0.4097 [4 per cell]
5 Tl 0.1707 0.0000 0.4488 [2 per cell]
6 Tl 0.1768 0.0000 0.8076 [2 per cell]
7 Tl 0.2004 0.2990 0.1308 [4 per cell]
8 Tl 0.2132 0.3528 0.8069 [4 per cell]
9 Tl 0.2861 0.5000 0.0902 [2 per cell]
10 Tl 0.3636 0.1912 0.4901 [4 per cell]
11 Tl 0.4943 0.0000 0.5145 [2 per cell]
12 Tl 0.4942 0.3217 0.8049 [4 per cell]
13 Hg 0.1576 0.1758 0.6151 [4 per cell]
14 Hg 0.2596 0.0931 0.1619 [4 per cell]
15 Hg 0.3154 0.5000 0.6567 [2 per cell]
16 Hg 0.3676 0.1815 0.9940 [4 per cell]
17 Hg 0.3809 0.4081 0.4365 [4 per cell]
18 Hg 0.4601 0.0893 0.8111 [4 per cell]


(10)
The following is a simulated powder X-ray diffraction pattern of HgHSI. It was derived from a PBE-relaxed structure, using Cu Kα (λ = 1.5418 Å).

Peak list (10 most intense, 15 to 90 degrees two-theta, low angle first)
| 2theta | I (rel.) | hkl |
| --- | --- | --- |
| 24.7 | 100 | 2 0 0 |
| 24.9 | 13 | 2 0 -2 |
| 31.6 | 15 | 1 1 1 |
| 31.7 | 13 | 1 1 -2 |
| 34.8 | 11 | 2 0 -3 |
| 38.7 | 15 | 3 1 -2 |
| 42.6 | 17 | 1 1 -3 |
| 43.5 | 19 | 0 2 0 |
| 43.7 | 15 | 3 1 -3 |
| 50.6 | 14 | 2 2 0 |

a b c (Å): 8.6416 4.1677 7.7374
angles (deg): 90.00 123.47 90.00
Space group Cm (No. 8)
Unique sites:
1 Hg 0.0000 0.0000 0.0000 [2 per cell]
2 H 0.1698 0.5000 0.3512 [2 per cell]
3 S 0.4881 0.0000 0.1873 [2 per cell]
4 I 0.0368 0.0000 0.6732 [2 per cell]